(1)
Starting from a structure optimized by DFT (GGA-PBE), the PXRD pattern of Rb2PrAlTe4 was computed for copper Kα.
Peak positions follow from Bragg's law for the DFT cell and can differ from measured ones.

Structure:
```
data_Rb2PrAlTe4
_symmetry_space_group_name_H-M 'I m m a'
_symmetry_Int_Tables_number 74
_symmetry_space_group_name_Hall '-I 2b 2'
_cell_length_a 9.060
_cell_length_b 9.707
_cell_length_c 13.415
_cell_angle_alpha 90.00
_cell_angle_beta 90.00
_cell_angle_gamma 90.00
loop_
_atom_site_label
_atom_site_fract_x
_atom_site_fract_y
_atom_site_fract_z
_atom_site_occupancy
Rb1 0.000 0.000 0.000 1
Rb2 0.250 0.250 0.250 1
Pr1 0.000 0.000 0.500 1
Al1 0.250 0.250 0.750 1
Te1 0.000 0.055 0.741 1
Te2 0.230 0.250 0.526 1
```

The 8 most intense peaks (2θ from 10° to 90°), sorted by position:
2θ (°)	Rel. int.	hkl
26.58	52	0 0 4
26.92	100	2 2 0
29.54	17	2 1 3
38.19	67	2 2 4
39.80	19	4 0 0
48.48	27	4 0 4
55.47	16	4 4 0
62.54	16	4 4 4



(2)
Starting from a structure optimized by DFT (GGA-PBE), the PXRD pattern of PrAl3Rh was computed for copper Kα.
Peak positions follow from Bragg's law for the DFT cell and can differ from measured ones.

Structure:
```
data_PrAl3Rh
_symmetry_space_group_name_H-M 'P 4 m m'
_symmetry_Int_Tables_number 99
_cell_length_a 4.354
_cell_length_b 4.354
_cell_length_c 5.291
_cell_angle_alpha 90.00
_cell_angle_beta 90.00
_cell_angle_gamma 90.00
loop_
_symmetry_equiv_pos_as_xyz
'x,y,z'
'-y,x,z'
'-x,-y,z'
'y,-x,z'
'-x,y,z'
'y,x,z'
'x,-y,z'
'-y,-x,z'
loop_
_atom_site_label
_atom_site_fract_x
_atom_site_fract_y
_atom_site_fract_z
_atom_site_occupancy
Pr1 0.000 0.000 0.000 1
Al1 0.000 0.500 0.488 1
Al2 0.500 0.500 0.797 1
Rh1 0.500 0.500 0.265 1
```

The 8 most intense peaks (2θ from 10° to 90°), sorted by position:
2θ (°)	Rel. int.	hkl
16.76	38	0 0 1
26.51	100	1 0 1
29.00	72	1 1 0
33.68	86	1 1 1
39.87	91	1 0 2
41.48	60	2 0 0
49.90	35	2 1 1
58.89	58	2 1 2



(3)
Starting from a structure optimized by DFT (GGA-PBE), the PXRD pattern of Pr3Al7Rh4 was computed for copper Kα.
Peak positions follow from Bragg's law for the DFT cell and can differ from measured ones.

Structure:
```
data_Pr3Al7Rh4
_symmetry_space_group_name_H-M 'C 1 2/m 1'
_symmetry_Int_Tables_number 12
_cell_length_a 15.705
_cell_length_b 4.307
_cell_length_c 9.670
_cell_angle_alpha 90.00
_cell_angle_beta 125.26
_cell_angle_gamma 90.00
loop_
_symmetry_equiv_pos_as_xyz
'x,y,z'
'-x,-y,-z'
'-x,y,-z'
'x,-y,z'
'x+1/2,y+1/2,z'
'-x+1/2,-y+1/2,-z'
'-x+1/2,y+1/2,-z'
'x+1/2,-y+1/2,z'
loop_
_atom_site_label
_atom_site_fract_x
_atom_site_fract_y
_atom_site_fract_z
_atom_site_occupancy
Pr1 0.000 0.000 0.000 1
Pr2 0.192 0.500 0.697 1
Al1 0.000 0.000 0.500 1
Al2 0.005 0.500 0.291 1
Al3 0.154 0.000 0.421 1
Al4 0.184 0.500 0.022 1
Rh1 0.109 0.000 0.834 1
Rh2 0.162 0.500 0.289 1
```

The 8 most intense peaks (2θ from 10° to 90°), sorted by position:
2θ (°)	Rel. int.	hkl
22.34	37	2 0 1
22.56	55	0 0 2
29.44	76	3 1 0
34.37	77	1 1 2
34.79	100	3 1 -3
35.46	78	5 1 -2
35.72	75	6 0 -3
41.95	68	0 2 0



(4)
Starting from a structure optimized by DFT (GGA-PBE), the PXRD pattern of Pr2Al7Rh was computed for copper Kα.
Peak positions follow from Bragg's law for the DFT cell and can differ from measured ones.

Structure:
```
data_Pr2Al7Rh
_symmetry_space_group_name_H-M 'P -4 m 2'
_symmetry_Int_Tables_number 115
_cell_length_a 4.241
_cell_length_b 4.241
_cell_length_c 11.188
_cell_angle_alpha 90.00
_cell_angle_beta 90.00
_cell_angle_gamma 90.00
loop_
_symmetry_equiv_pos_as_xyz
'x,y,z'
'y,-x,-z'
'-x,-y,z'
'-y,x,-z'
'-x,y,z'
'-y,-x,-z'
'x,-y,z'
'y,x,-z'
loop_
_atom_site_label
_atom_site_fract_x
_atom_site_fract_y
_atom_site_fract_z
_atom_site_occupancy
Pr1 0.000 0.500 0.249 1
Al1 0.000 0.000 0.000 1
Al2 0.000 0.500 0.625 1
Al3 0.000 0.500 0.855 1
Al4 0.500 0.500 0.000 1
Al5 0.500 0.500 0.500 1
Rh1 0.000 0.000 0.500 1
```

The 8 most intense peaks (2θ from 10° to 90°), sorted by position:
2θ (°)	Rel. int.	hkl
22.42	56	1 0 1
31.97	79	0 0 4
33.92	100	1 1 2
42.64	38	2 0 0
45.85	29	1 0 5
54.28	43	2 0 4
64.40	20	2 1 5
72.48	22	3 1 2



(5)
Starting from a structure optimized by DFT (GGA-PBE), the PXRD pattern of Pr2ScAl2Rh5 was computed for copper Kα.
Peak positions follow from Bragg's law for the DFT cell and can differ from measured ones.

Structure:
```
data_Pr2ScAl2Rh5
_symmetry_space_group_name_H-M 'P 4/m b m'
_symmetry_Int_Tables_number 127
_symmetry_space_group_name_Hall '-P 4 2ab'
_cell_length_a 10.218
_cell_length_b 10.218
_cell_length_c 3.492
_cell_angle_alpha 90.00
_cell_angle_beta 90.00
_cell_angle_gamma 90.00
loop_
_atom_site_label
_atom_site_fract_x
_atom_site_fract_y
_atom_site_fract_z
_atom_site_occupancy
Pr1 0.175 0.325 0.000 1
Sc1 0.000 0.000 0.000 1
Al1 0.123 0.623 0.000 1
Rh1 0.000 0.500 0.500 1
Rh2 0.067 0.789 0.500 1
```

The 8 most intense peaks (2θ from 10° to 90°), sorted by position:
2θ (°)	Rel. int.	hkl
32.26	69	2 1 1
35.76	28	2 2 1
36.25	88	4 1 0
37.34	30	3 3 0
37.94	100	3 1 1
41.02	38	3 2 1
52.40	23	0 0 2
65.38	31	4 1 2



(6)
Starting from a structure optimized by DFT (GGA-PBE), the PXRD pattern of PrAl2SiRh2 was computed for copper Kα.
Peak positions follow from Bragg's law for the DFT cell and can differ from measured ones.

Structure:
```
data_PrAl2SiRh2
_symmetry_space_group_name_H-M 'P 4/m m m'
_symmetry_Int_Tables_number 123
_symmetry_space_group_name_Hall '-P 4 2'
_cell_length_a 4.502
_cell_length_b 4.502
_cell_length_c 5.711
_cell_angle_alpha 90.00
_cell_angle_beta 90.00
_cell_angle_gamma 90.00
loop_
_atom_site_label
_atom_site_fract_x
_atom_site_fract_y
_atom_site_fract_z
_atom_site_occupancy
Pr1 0.000 0.000 0.000 1
Al1 0.500 0.500 0.246 1
Si1 0.000 0.000 0.500 1
Rh1 0.000 0.500 0.500 1
```

The 8 most intense peaks (2θ from 10° to 90°), sorted by position:
2θ (°)	Rel. int.	hkl
19.72	21	1 0 0
25.19	22	1 0 1
31.33	27	0 0 2
32.19	100	1 1 1
37.29	32	1 0 2
40.06	49	2 0 0
51.71	26	2 0 2
67.85	23	3 1 1



Repeat the sixth record exactly.
Starting from a structure optimized by DFT (GGA-PBE), the PXRD pattern of PrAl2SiRh2 was computed for copper Kα.
Peak positions follow from Bragg's law for the DFT cell and can differ from measured ones.

Structure:
```
data_PrAl2SiRh2
_symmetry_space_group_name_H-M 'P 4/m m m'
_symmetry_Int_Tables_number 123
_symmetry_space_group_name_Hall '-P 4 2'
_cell_length_a 4.502
_cell_length_b 4.502
_cell_length_c 5.711
_cell_angle_alpha 90.00
_cell_angle_beta 90.00
_cell_angle_gamma 90.00
loop_
_atom_site_label
_atom_site_fract_x
_atom_site_fract_y
_atom_site_fract_z
_atom_site_occupancy
Pr1 0.000 0.000 0.000 1
Al1 0.500 0.500 0.246 1
Si1 0.000 0.000 0.500 1
Rh1 0.000 0.500 0.500 1
```

The 8 most intense peaks (2θ from 10° to 90°), sorted by position:
2θ (°)	Rel. int.	hkl
19.72	21	1 0 0
25.19	22	1 0 1
31.33	27	0 0 2
32.19	100	1 1 1
37.29	32	1 0 2
40.06	49	2 0 0
51.71	26	2 0 2
67.85	23	3 1 1